Record 1
This entry pairs a crystal structure of Pr3Hg2BRh3 with its simulated X-ray diffraction stick pattern. Radiation: λ = 1.5418 Å (Cu Kα). Structure: the PBE geometry in Alexandria.
No peak broadening, texture or thermal motion is included.

Top 10 peaks for 2θ from 10° to 90°, sorted by position:
- 22.60 deg, I 18, (1 1 0)
- 33.76 deg, I 100, (1 1 1)
- 34.83 deg, I 30, (2 1 0)
- 36.32 deg, I 16, (2 0 1)
- 39.68 deg, I 31, (3 0 0)
- 43.20 deg, I 26, (2 1 1)
- 50.77 deg, I 12, (0 0 2)
- 66.29 deg, I 14, (3 0 2)
- 68.24 deg, I 30, (4 1 1)
- 84.51 deg, I 14, (1 1 3)

Cell and atoms:
Cell: 7.8693 7.8693 3.5966 Å, 90.00 90.00 120.00°
Space group P-62m (No. 189)
Unique sites:
Pr 0.0000 0.6474 0.0000 [3 per cell]
Hg 0.3333 0.6667 0.5000 [2 per cell]
B 0.0000 0.0000 0.0000 [1 per cell]
Rh 0.0000 0.2012 0.5000 [3 per cell]

Record 2
This entry pairs a crystal structure of Mn2NbSn with its simulated X-ray diffraction stick pattern. Radiation: λ = 1.5418 Å (Cu Kα). Structure: the PBE geometry in Alexandria.
No peak broadening, texture or thermal motion is included.

Top 10 peaks for 2θ from 10° to 90°, sorted by position:
- 27.81 deg, I 7, (0 0 1)
- 29.32 deg, I 12, (1 1 0)
- 40.85 deg, I 100, (1 1 1)
- 41.94 deg, I 46, (2 0 0)
- 51.07 deg, I 6, (2 0 1)
- 57.45 deg, I 9, (0 0 2)
- 60.82 deg, I 15, (2 2 0)
- 73.63 deg, I 17, (2 0 2)
- 75.88 deg, I 31, (3 1 1)
- 88.53 deg, I 11, (2 2 2)

Cell and atoms:
Cell: 4.308 4.308 3.208 Å, 90.00 90.00 90.00°
Space group P4/mmm (No. 123)
Unique sites:
Mn 0.000 0.500 0.000 [2 per cell]
Nb 0.000 0.000 0.500 [1 per cell]
Sn 0.500 0.500 0.500 [1 per cell]

Record 3
This entry pairs a crystal structure of ZrCuHgTe3 with its simulated X-ray diffraction stick pattern. Radiation: λ = 1.5418 Å (Cu Kα). Structure: the PBE geometry in Alexandria.
No peak broadening, texture or thermal motion is included.

Top 10 peaks for 2θ from 10° to 90°, sorted by position:
- 19.93 deg, I 18, (2 0 0)
- 28.48 deg, I 80, (0 0 3)
- 28.98 deg, I 100, (2 1 -1)
- 30.38 deg, I 39, (2 1 0)
- 34.15 deg, I 18, (2 0 -4)
- 34.40 deg, I 20, (1 0 3)
- 37.03 deg, I 18, (4 0 -1)
- 41.43 deg, I 51, (2 1 -4)
- 46.36 deg, I 26, (0 2 0)
- 48.93 deg, I 19, (3 1 2)

Cell and atoms:
Cell: 9.986 3.917 10.526 Å, 90.00 116.84 90.00°
Space group P2_1/m (No. 11)
Unique sites:
Zr 0.183 0.250 0.166 [2 per cell]
Cu 0.417 0.750 0.404 [2 per cell]
Hg 0.287 0.750 0.772 [2 per cell]
Te 0.043 0.250 0.850 [2 per cell]
Te 0.287 0.250 0.473 [2 per cell]
Te 0.382 0.750 0.142 [2 per cell]

Record 4
This entry pairs a crystal structure of InGaPd3 with its simulated X-ray diffraction stick pattern. Radiation: λ = 1.5418 Å (Cu Kα). Structure: the PBE geometry in Alexandria.
No peak broadening, texture or thermal motion is included.

Top 10 peaks for 2θ from 10° to 90°, sorted by position:
- 29.60 deg, I 14, (1 0 2)
- 35.52 deg, I 37, (0 2 1)
- 36.03 deg, I 30, (1 0 -2)
- 36.18 deg, I 30, (1 1 3)
- 38.74 deg, I 100, (1 2 -1)
- 42.36 deg, I 33, (0 0 4)
- 43.39 deg, I 19, (-1 1 2)
- 43.54 deg, I 19, (1 2 3)
- 47.63 deg, I 37, (2 1 1)
- 67.68 deg, I 13, (1 4 0)

Cell and atoms:
Cell: 3.818 5.573 8.743 Å, 83.96 77.61 70.03°
Space group P-1 (No. 2)
Unique sites:
In 0.092 0.221 0.098 [2 per cell]
Ga 0.148 0.801 0.412 [2 per cell]
Pd 0.187 0.483 0.638 [2 per cell]
Pd 0.353 0.670 0.127 [2 per cell]
Pd 0.466 0.895 0.664 [2 per cell]